Starting from a structure optimized by DFT (GGA+U), the powder XRD pattern of TlCr2CdF6 was computed for Cu Kα X-rays.

The 12 most intense peaks (2θ = 5–70°), by angle:
2theta  I (rel.)
17.83  21
20.00  24
21.78  13
28.44  61
29.74  100
36.10  41
40.65  43
44.40  13
51.15  33
53.57  17
58.84  13
61.72  13

```
10
Lattice="6.0205 0.0000 0.0000 -2.7577 5.3635 0.0000 -2.7600 -1.9928 4.9803" Properties=species:S:1:pos:R:3 pbc="T T T"
Tl 0.0000 0.0000 0.0000
Cr 0.1606 -0.0974 3.8140
Cr 0.1650 3.5833 1.3253
Cd 3.4665 1.5902 2.2802
F -1.3124 2.6718 0.2787
F -0.0226 1.5500 2.6454
F 1.4552 -0.9798 2.5091
F 1.6272 2.7698 0.1600
F 3.0019 0.3113 0.1000
F 4.2931 -0.8143 2.4686
```